Structure and calculated powder diffraction line list of RbAgPbCl6 (a DFT-relaxed cell (PBE, Alexandria); Cu Kα (weighted mean of Kα1 and Kα2)).

Most intense lines, 2θ from 10° to 90°, by angle:
- d = 7.185 Å, 12.3°, I 52
- d = 6.090 Å, 14.5°, I 24
- d = 4.646 Å, 19.1°, I 100
- d = 3.516 Å, 25.3°, I 32
- d = 3.158 Å, 28.3°, I 39
- d = 2.804 Å, 31.9°, I 23
- d = 2.513 Å, 35.7°, I 73
- d = 2.192 Å, 41.2°, I 28
- d = 2.030 Å, 44.6°, I 25
- d = 1.979 Å, 45.8°, I 15
- d = 1.579 Å, 58.4°, I 16
- d = 1.246 Å, 76.4°, I 14

Structural model:
Cell lengths 7.0320, 7.0320, 7.1851 Å; angles 90.00, 90.00, 120.00 degrees
Space group P312 (No. 149)
Symmetry-distinct sites (fractional):
Rb  0.0000  0.0000  0.0000 [1 per cell]
Ag  0.3333  0.6667  0.5000 [1 per cell]
Pb  0.6667  0.3333  0.5000 [1 per cell]
Cl  0.3816  0.0200  0.7083 [6 per cell]

Structure and calculated powder diffraction line list of Pr2Nd3Sc (a DFT-relaxed cell (PBE, Alexandria); Cu Kα (weighted mean of Kα1 and Kα2)).

Most intense lines, 2θ from 10° to 90°, by angle:
- d = 2.960 Å, 30.2°, I 100
- d = 2.947 Å, 30.3°, I 33
- d = 2.560 Å, 35.0°, I 67
- d = 1.814 Å, 50.3°, I 16
- d = 1.810 Å, 50.4°, I 16
- d = 1.807 Å, 50.5°, I 16
- d = 1.547 Å, 59.8°, I 14
- d = 1.544 Å, 59.9°, I 28
- d = 1.541 Å, 60.0°, I 14
- d = 1.481 Å, 62.8°, I 8
- d = 1.176 Å, 82.0°, I 7
- d = 1.144 Å, 84.8°, I 7

Structural model:
Cell lengths 6.2584, 8.0977, 8.8836 Å; angles 111.44, 90.25, 104.74 degrees
Space group P-1 (No. 2)
Symmetry-distinct sites (fractional):
Pr  0.0511  0.3831  0.2979 [2 per cell]
Pr  0.2971  0.6225  0.0403 [2 per cell]
Nd  0.1254  0.1246  0.8718 [2 per cell]
Nd  0.2087  0.8775  0.4583 [2 per cell]
Nd  0.4613  0.1378  0.2167 [2 per cell]
Sc  0.3761  0.3752  0.6210 [2 per cell]

Structure and calculated powder diffraction line list of Ca3Ag4Au2 (a DFT-relaxed cell (PBE, Alexandria); Cu Kα (weighted mean of Kα1 and Kα2)).

Most intense lines, 2θ from 10° to 90°, by angle:
- d = 4.174 Å, 21.3°, I 20
- d = 4.117 Å, 21.6°, I 43
- d = 3.520 Å, 25.3°, I 57
- d = 2.872 Å, 31.1°, I 26
- d = 2.706 Å, 33.1°, I 17
- d = 2.681 Å, 33.4°, I 62
- d = 2.668 Å, 33.6°, I 32
- d = 2.399 Å, 37.5°, I 100
- d = 2.366 Å, 38.0°, I 52
- d = 1.991 Å, 45.6°, I 31
- d = 1.974 Å, 46.0°, I 21
- d = 1.964 Å, 46.2°, I 23

Structural model:
Cell lengths 10.8619, 4.7321, 9.0963 Å; angles 90.00, 116.83, 90.00 degrees
Space group C2/m (No. 12)
Symmetry-distinct sites (fractional):
Ca  0.0000  0.0000  0.0000 [2 per cell]
Ca  0.1856  0.5000  0.6383 [4 per cell]
Ag  0.0062  0.0000  0.3522 [4 per cell]
Ag  0.2248  0.5000  0.0638 [4 per cell]
Au  0.0835  0.5000  0.2564 [4 per cell]

Structure and calculated powder diffraction line list of Ho2Ga3Pd8 (a DFT-relaxed cell (PBE, Alexandria); Cu Kα (weighted mean of Kα1 and Kα2)).

Most intense lines, 2θ from 10° to 90°, by angle:
- d = 3.047 Å, 29.3°, I 40
- d = 2.644 Å, 33.9°, I 29
- d = 2.560 Å, 35.1°, I 36
- d = 2.525 Å, 35.6°, I 100
- d = 2.397 Å, 37.5°, I 44
- d = 2.368 Å, 38.0°, I 49
- d = 2.267 Å, 39.8°, I 38
- d = 2.221 Å, 40.6°, I 51
- d = 2.167 Å, 41.7°, I 31
- d = 2.141 Å, 42.2°, I 27
- d = 2.088 Å, 43.3°, I 95
- d = 1.264 Å, 75.2°, I 28

Structural model:
Cell lengths 13.0103, 5.5244, 7.8641 Å; angles 90.00, 125.63, 90.00 degrees
Space group C2/m (No. 12)
Symmetry-distinct sites (fractional):
Ho  0.1349  0.0000  0.2560 [4 per cell]
Ga  0.0000  0.2387  0.5000 [4 per cell]
Ga  0.0000  0.5000  0.0000 [2 per cell]
Pd  0.1167  0.5000  0.4014 [4 per cell]
Pd  0.1208  0.2479  0.9054 [8 per cell]
Pd  0.2149  0.0000  0.7045 [4 per cell]

Structure and calculated powder diffraction line list of La3PmSm4 (a DFT-relaxed cell (PBE, Alexandria); Cu Kα (weighted mean of Kα1 and Kα2)).

Most intense lines, 2θ from 10° to 90°, by angle:
- d = 2.999 Å, 29.8°, I 100
- d = 2.612 Å, 34.3°, I 17
- d = 2.590 Å, 34.6°, I 34
- d = 1.839 Å, 49.6°, I 24
- d = 1.831 Å, 49.8°, I 12
- d = 1.573 Å, 58.7°, I 15
- d = 1.563 Å, 59.1°, I 29
- d = 1.499 Å, 61.9°, I 12
- d = 1.193 Å, 80.5°, I 12
- d = 1.189 Å, 80.9°, I 6
- d = 1.166 Å, 82.8°, I 6
- d = 1.160 Å, 83.3°, I 5

Structural model:
Cell lengths 10.4473, 7.3243, 7.3263 Å; angles 90.00, 90.00, 90.00 degrees
Space group Pmna (No. 53)
Symmetry-distinct sites (fractional):
La  0.0000  0.0000  0.0000 [2 per cell]
La  0.2500  0.2515  0.2500 [4 per cell]
Pm  0.0000  0.5000  0.5000 [2 per cell]
Sm  0.0000  0.0000  0.5000 [2 per cell]
Sm  0.0000  0.5000  0.0000 [2 per cell]
Sm  0.2500  0.2503  0.7500 [4 per cell]

Structure and calculated powder diffraction line list of Sm5Sn4Hg (a DFT-relaxed cell (PBE, Alexandria); Cu Kα (weighted mean of Kα1 and Kα2)).

Most intense lines, 2θ from 10° to 90°, by angle:
- d = 3.181 Å, 28.0°, I 29
- d = 3.134 Å, 28.5°, I 100
- d = 2.897 Å, 30.9°, I 19
- d = 2.677 Å, 33.5°, I 15
- d = 2.355 Å, 38.2°, I 10
- d = 2.233 Å, 40.4°, I 52
- d = 2.216 Å, 40.7°, I 38
- d = 1.818 Å, 50.2°, I 28
- d = 1.567 Å, 58.9°, I 12
- d = 1.406 Å, 66.5°, I 11
- d = 1.402 Å, 66.7°, I 17
- d = 1.283 Å, 73.9°, I 15

Structural model:
Cell lengths 9.9111, 9.9111, 6.3628 Å; angles 90.00, 90.00, 90.00 degrees
Space group I4 (No. 79)
Symmetry-distinct sites (fractional):
Sm  0.0000  0.0000  0.0000 [2 per cell]
Sm  0.0973  0.6885  0.3634 [8 per cell]
Sn  0.1043  0.7114  0.8610 [8 per cell]
Hg  0.0000  0.0000  0.5081 [2 per cell]

Structure and calculated powder diffraction line list of Li2Mg3Ti6O16 (a DFT-relaxed cell (PBE, Alexandria); Cu Kα (weighted mean of Kα1 and Kα2)).

Most intense lines, 2θ from 10° to 90°, by angle:
- d = 5.995 Å, 14.8°, I 45
- d = 4.895 Å, 18.1°, I 94
- d = 3.794 Å, 23.4°, I 52
- d = 3.462 Å, 25.7°, I 26
- d = 3.000 Å, 29.8°, I 17
- d = 2.559 Å, 35.1°, I 97
- d = 2.552 Å, 35.2°, I 46
- d = 2.120 Å, 42.7°, I 100
- d = 1.633 Å, 56.3°, I 38
- d = 1.630 Å, 56.5°, I 21
- d = 1.503 Å, 61.7°, I 17
- d = 1.499 Å, 61.9°, I 64

Structural model:
Cell lengths 8.4735, 8.4856, 8.4798 Å; angles 90.00, 90.32, 90.00 degrees
Space group P2_1 (No. 4)
Symmetry-distinct sites (fractional):
Li  0.0015  0.0000  0.2462 [2 per cell]
Li  0.3743  0.6306  0.8735 [2 per cell]
Mg  0.2472  0.2546  0.9948 [2 per cell]
Mg  0.2527  0.7609  0.4983 [2 per cell]
Mg  0.4962  0.0067  0.7477 [2 per cell]
Ti  0.1145  0.1322  0.6146 [2 per cell]
Ti  0.1178  0.8702  0.8673 [2 per cell]
Ti  0.1285  0.6263  0.1255 [2 per cell]
Ti  0.3623  0.3887  0.6233 [2 per cell]
Ti  0.3662  0.1380  0.3705 [2 per cell]
Ti  0.3758  0.8819  0.1200 [2 per cell]
O  0.1047  0.6463  0.3577 [2 per cell]
O  0.1093  0.4028  0.1103 [2 per cell]
O  0.1099  0.1178  0.8640 [2 per cell]
O  0.1218  0.6525  0.8910 [2 per cell]
O  0.1419  0.8663  0.1103 [2 per cell]
O  0.1437  0.1164  0.3975 [2 per cell]
O  0.1440  0.8999  0.6498 [2 per cell]
O  0.1490  0.3596  0.6399 [2 per cell]
O  0.3557  0.6441  0.1309 [2 per cell]
O  0.3627  0.8858  0.8968 [2 per cell]
O  0.3656  0.1438  0.6111 [2 per cell]
O  0.3712  0.1179  0.1437 [2 per cell]
O  0.3864  0.8950  0.3599 [2 per cell]
O  0.3879  0.6096  0.6195 [2 per cell]
O  0.3908  0.3580  0.3916 [2 per cell]
O  0.3969  0.3754  0.8602 [2 per cell]

Structure and calculated powder diffraction line list of Cu4SbIr (a DFT-relaxed cell (PBE, Alexandria); Cu Kα (weighted mean of Kα1 and Kα2)).

Most intense lines, 2θ from 10° to 90°, by angle:
- d = 4.008 Å, 22.2°, I 13
- d = 3.471 Å, 25.7°, I 3
- d = 2.454 Å, 36.6°, I 59
- d = 2.093 Å, 43.2°, I 100
- d = 2.004 Å, 45.3°, I 18
- d = 1.593 Å, 57.9°, I 3
- d = 1.552 Å, 59.6°, I 2
- d = 1.417 Å, 65.9°, I 21
- d = 1.336 Å, 70.5°, I 30
- d = 1.227 Å, 77.8°, I 22
- d = 1.173 Å, 82.1°, I 3
- d = 1.098 Å, 89.2°, I 10

Structural model:
Cell lengths 6.9419, 6.9419, 6.9419 Å; angles 90.00, 90.00, 90.00 degrees
Space group F-43m (No. 216)
Symmetry-distinct sites (fractional):
Cu  0.1243  0.1243  0.1243 [16 per cell]
Sb  0.0000  0.0000  0.5000 [4 per cell]
Ir  0.2500  0.2500  0.7500 [4 per cell]

Structure and calculated powder diffraction line list of NaPa2Cu2Se6 (a DFT-relaxed cell (PBE, Alexandria); Cu Kα (weighted mean of Kα1 and Kα2)).

Most intense lines, 2θ from 10° to 90°, by angle:
- d = 6.393 Å, 13.9°, I 68
- d = 6.176 Å, 14.3°, I 44
- d = 6.044 Å, 14.7°, I 61
- d = 5.921 Å, 15.0°, I 36
- d = 3.225 Å, 27.7°, I 61
- d = 3.190 Å, 28.0°, I 54
- d = 3.149 Å, 28.3°, I 100
- d = 2.460 Å, 36.5°, I 27
- d = 2.432 Å, 37.0°, I 78
- d = 2.365 Å, 38.1°, I 24
- d = 2.115 Å, 42.8°, I 40
- d = 1.815 Å, 50.3°, I 24

Structural model:
Cell lengths 7.2480, 7.3919, 7.5244 Å; angles 63.09, 62.87, 61.07 degrees
Space group P-1 (No. 2)
Symmetry-distinct sites (fractional):
Na  0.0000  0.0000  0.0000 [1 per cell]
Pa  0.3304  0.3327  0.0014 [2 per cell]
Cu  0.4637  0.6678  0.5594 [2 per cell]
Se  0.0834  0.7149  0.7565 [2 per cell]
Se  0.2806  0.5676  0.2441 [2 per cell]
Se  0.4334  0.0717  0.7608 [2 per cell]

Structure and calculated powder diffraction line list of CsMg2UBr8 (a DFT-relaxed cell (PBE, Alexandria); Cu Kα (weighted mean of Kα1 and Kα2)).

Most intense lines, 2θ from 10° to 90°, by angle:
- d = 5.725 Å, 15.5°, I 22
- d = 4.888 Å, 18.1°, I 47
- d = 4.456 Å, 19.9°, I 16
- d = 3.614 Å, 24.6°, I 18
- d = 3.532 Å, 25.2°, I 18
- d = 3.358 Å, 26.5°, I 51
- d = 2.959 Å, 30.2°, I 100
- d = 2.225 Å, 40.5°, I 19
- d = 2.150 Å, 42.0°, I 49
- d = 2.039 Å, 44.4°, I 42
- d = 1.679 Å, 54.7°, I 18
- d = 1.296 Å, 73.0°, I 16

Structural model:
Cell lengths 7.0633, 7.0633, 32.5271 Å; angles 90.00, 90.00, 120.00 degrees
Space group R-3 (No. 148, hexagonal axes)
Symmetry-distinct sites (fractional):
Cs  0.0000  0.0000  0.0000 [3 per cell]
Mg  0.0000  0.0000  0.2469 [6 per cell]
U  0.0000  0.0000  0.5000 [3 per cell]
Br  0.0000  0.0000  0.3217 [6 per cell]
Br  0.0037  0.3279  0.1135 [18 per cell]

Structure and calculated powder diffraction line list of Tb5Tm2Sc3 (a DFT-relaxed cell (PBE, Alexandria); Cu Kα (weighted mean of Kα1 and Kα2)).

Most intense lines, 2θ from 10° to 90°, by angle:
- d = 4.418 Å, 20.1°, I 14
- d = 4.333 Å, 20.5°, I 20
- d = 3.758 Å, 23.7°, I 14
- d = 3.746 Å, 23.8°, I 17
- d = 2.873 Å, 31.1°, I 100
- d = 2.840 Å, 31.5°, I 52
- d = 2.833 Å, 31.6°, I 50
- d = 2.688 Å, 33.3°, I 15
- d = 2.627 Å, 34.1°, I 47
- d = 1.792 Å, 51.0°, I 16
- d = 1.560 Å, 59.2°, I 16
- d = 1.556 Å, 59.4°, I 13

Structural model:
Cell lengths 10.5061, 15.4441, 9.1363 Å; angles 90.00, 124.92, 90.00 degrees
Space group C2/c (No. 15)
Symmetry-distinct sites (fractional):
Tb  0.0000  0.0177  0.2500 [4 per cell]
Tb  0.0000  0.2163  0.2500 [4 per cell]
Tb  0.0000  0.4823  0.7500 [4 per cell]
Tb  0.2472  0.1449  0.7422 [8 per cell]
Tm  0.1532  0.1368  0.0476 [8 per cell]
Sc  0.0000  0.2848  0.7500 [4 per cell]
Sc  0.1436  0.3646  0.5471 [8 per cell]

Structure and calculated powder diffraction line list of TaNi3Ge (a DFT-relaxed cell (PBE, Alexandria); Cu Kα (weighted mean of Kα1 and Kα2)).

Most intense lines, 2θ from 10° to 90°, by angle:
- d = 6.013 Å, 14.7°, I 72
- d = 5.624 Å, 15.8°, I 49
- d = 3.512 Å, 25.4°, I 84
- d = 3.181 Å, 28.0°, I 38
- d = 2.384 Å, 37.7°, I 50
- d = 2.249 Å, 40.1°, I 100
- d = 2.088 Å, 43.3°, I 47
- d = 1.965 Å, 46.2°, I 56
- d = 1.894 Å, 48.0°, I 36
- d = 1.800 Å, 50.7°, I 21
- d = 1.730 Å, 52.9°, I 37
- d = 1.590 Å, 58.0°, I 38

Structural model:
Cell lengths 6.3628, 12.0251, 4.4964 Å; angles 90.00, 90.00, 90.00 degrees
Space group Cmcm (No. 63)
Symmetry-distinct sites (fractional):
Ta  0.0000  0.0980  0.2500 [4 per cell]
Ni  0.0000  0.5000  0.0000 [4 per cell]
Ni  0.1880  0.0813  0.7500 [8 per cell]
Ge  0.0000  0.3172  0.2500 [4 per cell]